Entry 1:
Starting from a DFT-relaxed cell (PBE, OQMD), the powder diffraction line list of Cd2Hg2SeF6 was simulated for Cu Kα (λ = 1.5418 Å).
Lines closer than 0.1° are merged.

Cell lengths 11.265, 11.265, 11.265 Å; angles 90.00, 90.00, 90.00 degrees
Space group Fd-3m (No. 227, origin choice 2)
Inequivalent atoms, fractional coordinates:
Cd: 0.000 0.000 0.000 (multiplicity 16)
Hg: 0.000 0.000 0.500 (multiplicity 16)
Se: 0.125 0.125 0.625 (multiplicity 8)
F: 0.088 0.375 0.375 (multiplicity 48)

Largest 10 diffraction maxima, by intensity, 2θ from 10° to 90°:
d_spacing  I/Imax
3.252  100
1.991  60
1.698  46
2.816  26
1.292  19
1.150  18
6.504  17
2.584  12
1.259  11
1.408  9

---

Entry 2:
Starting from a DFT-relaxed cell (PBE, OQMD), the powder diffraction line list of TaCdHg2F6 was simulated for Cu Kα (λ = 1.5418 Å).
Lines closer than 0.1° are merged.

Cell lengths 4.9865, 4.9865, 7.3299 Å; angles 90.00, 90.00, 120.00 degrees
Space group P-31m (No. 162)
Inequivalent atoms, fractional coordinates:
Ta: 0.0000 0.0000 0.0000 (multiplicity 1)
Cd: 0.0000 0.0000 0.5000 (multiplicity 1)
Hg: 0.3333 0.6667 0.5000 (multiplicity 2)
F: 0.0000 0.3109 0.8448 (multiplicity 6)

Largest 10 diffraction maxima, by intensity, 2θ from 10° to 90°:
d_spacing  I/Imax
2.061  100
3.721  68
2.493  68
3.665  64
7.330  50
2.360  41
1.477  35
1.340  21
1.439  19
1.180  17

---

Entry 3:
Starting from a DFT-relaxed cell (PBE, OQMD), the powder diffraction line list of CdHg2Te2F2 was simulated for Cu Kα (λ = 1.5418 Å).
Lines closer than 0.1° are merged.

Cell lengths 4.052, 4.052, 9.482 Å; angles 90.00, 90.00, 90.00 degrees
Space group P-4m2 (No. 115)
Inequivalent atoms, fractional coordinates:
Cd: 0.000 0.000 0.000 (multiplicity 1)
Hg: 0.000 0.500 0.656 (multiplicity 2)
Te: 0.000 0.500 0.212 (multiplicity 2)
F: 0.000 0.000 0.500 (multiplicity 1)
F: 0.500 0.500 0.500 (multiplicity 1)

Largest 10 diffraction maxima, by intensity, 2θ from 10° to 90°:
d_spacing  I/Imax
3.080  100
2.452  60
2.865  41
2.026  40
1.693  35
2.046  31
1.440  20
2.492  20
1.718  19
2.743  17

---

Entry 4:
Starting from a DFT-relaxed cell (PBE, OQMD), the powder diffraction line list of Cd2HgTe2F2 was simulated for Cu Kα (λ = 1.5418 Å).
Lines closer than 0.1° are merged.

Cell lengths 3.988, 3.988, 9.682 Å; angles 90.00, 90.00, 90.00 degrees
Space group P-4m2 (No. 115)
Inequivalent atoms, fractional coordinates:
Cd: 0.000 0.500 0.141 (multiplicity 2)
Hg: 0.000 0.000 0.500 (multiplicity 1)
Te: 0.000 0.500 0.712 (multiplicity 2)
F: 0.000 0.000 0.000 (multiplicity 1)
F: 0.500 0.500 0.000 (multiplicity 1)

Largest 10 diffraction maxima, by intensity, 2θ from 10° to 90°:
d_spacing  I/Imax
3.078  100
2.437  86
1.994  48
2.509  46
3.687  44
1.673  33
2.707  28
2.069  26
3.988  24
1.561  21

---

Entry 5:
Starting from a DFT-relaxed cell (PBE, OQMD), the powder diffraction line list of CdIn3F6 was simulated for Cu Kα (λ = 1.5418 Å).
Lines closer than 0.1° are merged.

Cell lengths 8.670, 8.670, 8.670 Å; angles 90.00, 90.00, 90.00 degrees
Space group Fm-3m (No. 225)
Inequivalent atoms, fractional coordinates:
Cd: 0.000 0.000 0.000 (multiplicity 4)
In: 0.000 0.000 0.500 (multiplicity 4)
In: 0.250 0.250 0.250 (multiplicity 8)
F: 0.000 0.000 0.255 (multiplicity 24)

Largest 10 diffraction maxima, by intensity, 2θ from 10° to 90°:
d_spacing  I/Imax
3.065  100
1.770  40
2.167  35
1.533  21
1.159  20
1.371  17
1.251  7
2.503  3
4.335  1
1.307  1

---

Entry 6:
Starting from a DFT-relaxed cell (PBE, OQMD), the powder diffraction line list of Tl2CdInF6 was simulated for Cu Kα (λ = 1.5418 Å).
Lines closer than 0.1° are merged.

Cell lengths 6.126, 6.132, 8.679 Å; angles 90.02, 90.01, 90.04 degrees
Space group P-1 (No. 2)
Inequivalent atoms, fractional coordinates:
Tl: 0.000 0.000 0.250 (multiplicity 2)
Tl: 0.500 0.500 0.250 (multiplicity 2)
Cd: 0.000 0.500 0.000 (multiplicity 1)
Cd: 0.500 0.000 0.500 (multiplicity 1)
In: 0.000 0.500 0.500 (multiplicity 1)
In: 0.500 0.000 0.000 (multiplicity 1)
F: 0.001 0.500 0.255 (multiplicity 2)
F: 0.240 0.251 0.500 (multiplicity 2)
F: 0.250 0.741 0.501 (multiplicity 2)
F: 0.252 0.758 0.999 (multiplicity 2)
F: 0.257 0.247 0.000 (multiplicity 2)
F: 0.499 0.000 0.245 (multiplicity 2)

Largest 10 diffraction maxima, by intensity, 2θ from 10° to 90°:
d_spacing  I/Imax
3.066  100
1.770  42
2.168  30
1.533  19
1.159  16
1.371  15
2.503  9
1.252  6
1.158  5
4.336  5